Structure and simulated X-ray diffraction stick pattern of BaV2ZnO7 (a crystal structure in Alexandria, relaxed with PBE+U; a wavelength of 1.5418 Å).
Kinematic intensities with the Lorentz-polarization factor, no thermal factor.

Cell and atoms:
a = 15.452 Å, b = 5.528 Å, c = 7.569 Å
α = 90.00°, β = 90.00°, γ = 90.00°
Sites, in units of the cell vectors:
Ba (0.215, 0.250, 0.149)
Ba (0.285, 0.750, 0.649)
Ba (0.715, 0.250, 0.351)
Ba (0.785, 0.750, 0.851)
V (0.062, 0.750, 0.291)
V (0.135, 0.250, 0.673)
V (0.365, 0.750, 0.173)
V (0.438, 0.250, 0.791)
V (0.562, 0.750, 0.209)
V (0.635, 0.250, 0.827)
V (0.865, 0.750, 0.327)
V (0.938, 0.250, 0.709)
Zn (0.047, 0.750, 0.886)
Zn (0.453, 0.250, 0.386)
Zn (0.547, 0.750, 0.614)
Zn (0.953, 0.250, 0.114)
O (0.030, 0.250, 0.560)
O (0.053, 0.000, 0.151)
O (0.053, 0.500, 0.151)
O (0.140, 0.504, 0.806)
O (0.140, 0.996, 0.806)
O (0.160, 0.750, 0.389)
O (0.220, 0.250, 0.533)
O (0.280, 0.750, 0.033)
O (0.340, 0.250, 0.889)
O (0.360, 0.004, 0.306)
O (0.360, 0.496, 0.306)
O (0.447, 0.000, 0.651)
O (0.447, 0.500, 0.651)
O (0.470, 0.750, 0.060)
O (0.530, 0.250, 0.940)
O (0.553, 0.000, 0.349)
O (0.553, 0.500, 0.349)
O (0.640, 0.504, 0.694)
O (0.640, 0.996, 0.694)
O (0.660, 0.750, 0.111)
O (0.720, 0.250, 0.967)
O (0.780, 0.750, 0.467)
O (0.840, 0.250, 0.611)
O (0.860, 0.004, 0.194)
O (0.860, 0.496, 0.194)
O (0.947, 0.000, 0.849)
O (0.947, 0.500, 0.849)
O (0.970, 0.750, 0.440)

Top 10 peaks for 10° ≤ 2θ ≤ 80°, low angle first:
- 2θ = 23.01°, d 3.865, I 51
- 2θ = 24.21°, d 3.676, I 35
- 2θ = 26.42°, d 3.374, I 43
- 2θ = 28.18°, d 3.167, I 90
- 2θ = 29.18°, d 3.061, I 100
- 2θ = 29.28°, d 3.050, I 34
- 2θ = 30.60°, d 2.921, I 51
- 2θ = 32.39°, d 2.764, I 55
- 2θ = 36.87°, d 2.438, I 28
- 2θ = 44.22°, d 2.048, I 32